Simulated XRD peak list of TaIrPd2 for Cu Kα (λ = 1.5418 Å), from a GGA-PBE-relaxed structure.
Peak positions follow from Bragg's law for the DFT cell and can differ from measured ones.

Top 5 peaks for 2θ from 5° to 70°, in order of rising 2θ:
- d 3.641, I = 8
- d 2.230, I = 100
- d 1.901, I = 4
- d 1.577, I = 17
- d 1.447, I = 2

Structure:
Cell: 4.459 4.459 4.459 Å, 60.00 60.00 60.00°
Element x y z (fractional)
Ta 0.000 0.000 0.000
Ir 0.250 0.250 0.250
Pd 0.500 0.500 0.500
Pd 0.750 0.750 0.750

---

Simulated XRD peak list of TlCu2TeS for Cu Kα (λ = 1.5418 Å), from a GGA-PBE-relaxed structure.
Peak positions follow from Bragg's law for the DFT cell and can differ from measured ones.

Top 8 peaks for 2θ from 5° to 70°, in order of rising 2θ:
- d 3.722, I = 26
- d 3.029, I = 100
- d 2.552, I = 48
- d 2.341, I = 16
- d 2.189, I = 15
- d 1.923, I = 28
- d 1.824, I = 27
- d 1.624, I = 32

Structure:
Cell: 7.859 7.859 7.859 Å, 151.67 151.67 40.50°
Element x y z (fractional)
Tl 0.000 0.000 0.000
Cu 0.213 0.713 0.500
Cu 0.713 0.213 0.500
Te 0.337 0.337 0.000
S 0.623 0.623 0.000